No. 1
Starting from a GGA-PBE-relaxed structure, the PXRD pattern of K3Bi2P3O12 was calculated for Cu Kα, 1.54184 Å.
Peak positions follow from Bragg's law for the DFT cell and can differ from measured ones.

Peak list (10 most intense, 2θ = 10–90°, sorted by position)
2θ (°)	I_rel
14.1	100
19.2	59
20.0	68
28.1	29
28.3	70
28.9	22
29.8	95
32.8	58
39.7	32
40.4	22

Crystal structure
a = 9.730 Å, b = 9.730 Å, c = 6.932 Å
α = 107.53°, β = 107.53°, γ = 88.81°
Fractional positions:
K1 0.000 0.000 0.000
K2 0.000 0.000 0.500
K3 0.226 0.774 0.750
K4 0.487 0.513 0.750
K5 0.513 0.487 0.250
K6 0.774 0.226 0.250
Bi1 0.114 0.410 0.830
Bi2 0.410 0.114 0.330
Bi3 0.590 0.886 0.670
Bi4 0.886 0.590 0.170
P1 0.153 0.362 0.363
P2 0.254 0.746 0.250
P3 0.362 0.153 0.863
P4 0.638 0.847 0.137
P5 0.746 0.254 0.750
P6 0.847 0.638 0.637
O1 0.056 0.411 0.171
O2 0.085 0.222 0.367
O3 0.118 0.741 0.318
O4 0.165 0.486 0.576
O5 0.222 0.085 0.867
O6 0.259 0.882 0.182
O7 0.260 0.610 0.059
O8 0.307 0.344 0.340
O9 0.344 0.307 0.840
O10 0.390 0.740 0.441
O11 0.411 0.056 0.671
O12 0.486 0.165 0.076
O13 0.514 0.835 0.924
O14 0.589 0.944 0.329
O15 0.610 0.260 0.559
O16 0.656 0.693 0.160
O17 0.693 0.656 0.660
O18 0.740 0.390 0.941
O19 0.741 0.118 0.818
O20 0.778 0.915 0.133
O21 0.835 0.514 0.424
O22 0.882 0.259 0.682
O23 0.915 0.778 0.633
O24 0.944 0.589 0.829

***

No. 2
Starting from a GGA-PBE-relaxed structure, the PXRD pattern of KSrPrBiO6 was calculated for Cu Kα, 1.54184 Å.
Peak positions follow from Bragg's law for the DFT cell and can differ from measured ones.

Peak list (10 most intense, 2θ = 10–90°, sorted by position)
2θ (°)	I_rel
17.3	8
20.0	38
28.4	100
40.7	32
45.7	18
50.4	42
58.8	20
62.8	9
66.6	19
81.1	22

Crystal structure
a = 6.277 Å, b = 6.277 Å, c = 6.277 Å
α = 60.00°, β = 60.00°, γ = 60.00°
Fractional positions:
K1 0.000 0.000 0.000
Sr1 0.500 0.500 0.500
Pr1 0.750 0.750 0.750
Bi1 0.250 0.250 0.250
O1 0.012 0.012 0.488
O2 0.012 0.488 0.012
O3 0.012 0.488 0.488
O4 0.488 0.012 0.012
O5 0.488 0.012 0.488
O6 0.488 0.488 0.012